Starting from a DFT-relaxed cell (GGA-PBE, Alexandria), the XRD peak list of Pm12Pr5Dy2 was simulated for Cu Kα (λ = 1.5418 Å).

Structure:
Cell: 10.839 10.839 6.287 Å, 100.76 100.76 66.44°
Fractional coordinates of all 19 atoms:
Pm (0.049, 0.557, 0.801)
Pm (0.053, 0.053, 0.274)
Pm (0.143, 0.652, 0.382)
Pm (0.348, 0.857, 0.618)
Pm (0.381, 0.381, 0.003)
Pm (0.443, 0.951, 0.199)
Pm (0.557, 0.049, 0.801)
Pm (0.619, 0.619, 0.997)
Pm (0.652, 0.143, 0.382)
Pm (0.857, 0.348, 0.618)
Pm (0.947, 0.947, 0.726)
Pm (0.951, 0.443, 0.199)
Pr (0.176, 0.176, 0.857)
Pr (0.285, 0.285, 0.446)
Pr (0.500, 0.500, 0.500)
Pr (0.715, 0.715, 0.554)
Pr (0.824, 0.824, 0.143)
Dy (0.270, 0.730, 0.000)
Dy (0.730, 0.270, 0.000)

The 10 most intense peaks (10 to 90 degrees two-theta), low angle first:
- 27.21°, d = 3.278 Å, rel. 30.4
- 29.43°, d = 3.035 Å, rel. 21.9
- 30.10°, d = 2.969 Å, rel. 57.3
- 30.59°, d = 2.922 Å, rel. 20.2
- 31.33°, d = 2.855 Å, rel. 100.0
- 32.43°, d = 2.761 Å, rel. 45.8
- 34.20°, d = 2.622 Å, rel. 19.1
- 34.72°, d = 2.583 Å, rel. 17.8
- 43.45°, d = 2.083 Å, rel. 14.2
- 54.23°, d = 1.691 Å, rel. 19.9